# 1
Starting from a cell relaxed with PBE, the X-ray diffraction stick pattern of Pr4Ho4Er3 was simulated for CuKα.

abc: 19.0679 19.0679 3.5201
angles: 95.09 95.09 16.51
Sites, in units of the cell vectors:
Pr (0.0000, 0.0000, 0.0000)
Pr (0.1828, 0.1828, 0.6785)
Pr (0.3746, 0.3746, 0.8778)
Pr (0.5574, 0.5574, 0.5558)
Ho (0.0964, 0.0964, 0.0934)
Ho (0.4610, 0.4610, 0.4625)
Ho (0.7337, 0.7337, 0.2322)
Ho (0.8237, 0.8237, 0.3259)
Er (0.2787, 0.2787, 0.7794)
Er (0.6430, 0.6430, 0.1387)
Er (0.9144, 0.9144, 0.4171)

Main lines, by angle (10° ≤ 2θ ≤ 90°):
| Position (°2θ) | intensity |
| --- | --- |
| 30.6 | 70 |
| 30.8 | 100 |
| 32.7 | 45 |
| 33.2 | 16 |
| 33.4 | 16 |
| 47.4 | 24 |
| 57.2 | 17 |
| 62.8 | 15 |

***

# 2
Starting from a cell relaxed with PBE, the X-ray diffraction stick pattern of Pr8Ho3Er4 was simulated for CuKα.

abc: 9.2406 9.2406 6.9070
angles: 110.67 110.67 82.95
Sites, in units of the cell vectors:
Pr (0.2048, 0.2048, 0.1822)
Pr (0.2060, 0.7940, 0.0000)
Pr (0.2543, 0.7457, 0.5000)
Pr (0.2559, 0.2559, 0.7209)
Pr (0.7441, 0.7441, 0.2791)
Pr (0.7457, 0.2543, 0.5000)
Pr (0.7940, 0.2060, 0.0000)
Pr (0.7952, 0.7952, 0.8178)
Ho (0.0000, 0.0000, 0.5000)
Ho (0.0000, 0.5000, 0.5000)
Ho (0.5000, 0.0000, 0.5000)
Er (0.0000, 0.5000, 0.0000)
Er (0.5000, 0.0000, 0.0000)
Er (0.5000, 0.5000, 0.0000)
Er (0.5000, 0.5000, 0.5000)

Main lines, by angle (10° ≤ 2θ ≤ 90°):
| Position (°2θ) | intensity |
| --- | --- |
| 25.8 | 16 |
| 29.2 | 100 |
| 29.3 | 18 |
| 29.7 | 32 |
| 30.1 | 15 |
| 32.8 | 22 |
| 33.6 | 22 |
| 41.8 | 33 |

***

# 3
Starting from a cell relaxed with PBE, the X-ray diffraction stick pattern of PrHo8Er3 was simulated for CuKα.

abc: 8.4063 8.4063 8.4063
angles: 99.75 96.17 136.33
Sites, in units of the cell vectors:
Pr (0.0000, 0.0000, 0.0000)
Ho (0.9997, 0.3346, 0.3350)
Ho (0.9997, 0.6647, 0.6650)
Ho (0.4195, 0.0004, 0.0851)
Ho (0.4195, 0.3344, 0.4191)
Ho (0.4989, 0.3307, 0.8318)
Ho (0.4989, 0.6670, 0.1682)
Ho (0.9153, 0.0004, 0.5809)
Ho (0.9153, 0.3344, 0.9149)
Er (0.4147, 0.6662, 0.7485)
Er (0.4986, 0.9986, 0.5000)
Er (0.9178, 0.6662, 0.2515)

Main lines, by angle (10° ≤ 2θ ≤ 90°):
| Position (°2θ) | intensity |
| --- | --- |
| 28.5 | 24 |
| 31.9 | 24 |
| 32.8 | 100 |
| 43.3 | 16 |
| 50.6 | 20 |
| 57.4 | 20 |
| 61.0 | 23 |
| 61.6 | 16 |

***

# 4
Starting from a cell relaxed with PBE, the X-ray diffraction stick pattern of PrHo8Er6 was simulated for CuKα.

abc: 8.5634 8.5634 8.5634
angles: 63.15 63.15 63.15
Sites, in units of the cell vectors:
Pr (0.0000, 0.0000, 0.0000)
Ho (0.1105, 0.7435, 0.7202)
Ho (0.2565, 0.2798, 0.8895)
Ho (0.2798, 0.8895, 0.2565)
Ho (0.4235, 0.4235, 0.4235)
Ho (0.5765, 0.5765, 0.5765)
Ho (0.7202, 0.1105, 0.7435)
Ho (0.7435, 0.7202, 0.1105)
Ho (0.8895, 0.2565, 0.2798)
Er (0.1079, 0.2332, 0.5373)
Er (0.2332, 0.5373, 0.1079)
Er (0.4627, 0.8921, 0.7668)
Er (0.5373, 0.1079, 0.2332)
Er (0.7668, 0.4627, 0.8921)
Er (0.8921, 0.7668, 0.4627)

Main lines, by angle (10° ≤ 2θ ≤ 90°):
| Position (°2θ) | intensity |
| --- | --- |
| 30.8 | 20 |
| 31.7 | 100 |
| 32.7 | 30 |
| 33.0 | 9 |
| 35.3 | 12 |
| 37.1 | 14 |
| 53.7 | 12 |
| 60.9 | 11 |

***

# 5
Starting from a cell relaxed with PBE, the X-ray diffraction stick pattern of PrHo4Er7 was simulated for CuKα.

abc: 6.1605 7.1196 8.7603
angles: 90.00 103.58 90.02
Sites, in units of the cell vectors:
Pr (0.0000, 0.0000, 0.0000)
Ho (0.2214, 0.5003, 0.6657)
Ho (0.2788, 0.2512, 0.3359)
Ho (0.7212, 0.7488, 0.6641)
Ho (0.7786, 0.4997, 0.3343)
Er (0.0000, 0.5000, 0.0000)
Er (0.2228, 0.0002, 0.6651)
Er (0.2788, 0.7485, 0.3358)
Er (0.5003, 0.2508, 0.0000)
Er (0.4997, 0.7492, 0.0000)
Er (0.7212, 0.2515, 0.6642)
Er (0.7772, 0.9998, 0.3349)

Main lines, by angle (10° ≤ 2θ ≤ 90°):
| Position (°2θ) | intensity |
| --- | --- |
| 29.2 | 37 |
| 31.5 | 51 |
| 32.3 | 100 |
| 34.0 | 90 |
| 51.4 | 39 |
| 55.5 | 21 |
| 58.8 | 20 |
| 61.5 | 45 |

***

# 6
Starting from a cell relaxed with PBE, the X-ray diffraction stick pattern of Pr3Ho4Er8 was simulated for CuKα.

abc: 9.2594 9.2594 6.7092
angles: 111.21 111.21 87.72
Sites, in units of the cell vectors:
Pr (0.0000, 0.0000, 0.0000)
Pr (0.0000, 0.5000, 0.0000)
Pr (0.5000, 0.0000, 0.0000)
Ho (0.0000, 0.5000, 0.5000)
Ho (0.5000, 0.0000, 0.5000)
Ho (0.5000, 0.5000, 0.0000)
Ho (0.5000, 0.5000, 0.5000)
Er (0.1392, 0.8608, 0.5000)
Er (0.2329, 0.2329, 0.9626)
Er (0.2400, 0.2400, 0.4909)
Er (0.2480, 0.7520, 0.0000)
Er (0.7520, 0.2480, 0.0000)
Er (0.7600, 0.7600, 0.5091)
Er (0.7671, 0.7671, 0.0374)
Er (0.8608, 0.1392, 0.5000)

Main lines, by angle (10° ≤ 2θ ≤ 90°):
| Position (°2θ) | intensity |
| --- | --- |
| 27.8 | 36 |
| 30.8 | 100 |
| 31.0 | 49 |
| 31.9 | 29 |
| 42.0 | 46 |
| 42.1 | 22 |
| 55.0 | 18 |
| 66.7 | 31 |

***

# 7
Starting from a cell relaxed with PBE, the X-ray diffraction stick pattern of PrHo4Er5 was simulated for CuKα.

abc: 3.5386 6.6298 14.0783
angles: 98.62 93.39 103.78
Sites, in units of the cell vectors:
Pr (0.0000, 0.0000, 0.0000)
Ho (0.1119, 0.8081, 0.2183)
Ho (0.1994, 0.7287, 0.8031)
Ho (0.8006, 0.2713, 0.1969)
Ho (0.8881, 0.1919, 0.7817)
Er (0.2053, 0.8810, 0.5835)
Er (0.4926, 0.4269, 0.6131)
Er (0.5000, 0.5000, 0.0000)
Er (0.5074, 0.5731, 0.3869)
Er (0.7947, 0.1190, 0.4165)

Main lines, by angle (10° ≤ 2θ ≤ 90°):
| Position (°2θ) | intensity |
| --- | --- |
| 29.3 | 38 |
| 31.4 | 73 |
| 32.3 | 55 |
| 32.7 | 51 |
| 33.0 | 100 |
| 33.4 | 18 |
| 42.8 | 18 |
| 50.3 | 18 |

***

# 8
Starting from a cell relaxed with PBE, the X-ray diffraction stick pattern of PrHo7Er12 was simulated for CuKα.

abc: 9.6955 9.6955 9.6955
angles: 109.47 109.47 109.47
Sites, in units of the cell vectors:
Pr (0.0000, 0.0000, 0.0000)
Ho (0.0000, 0.0000, 0.5000)
Ho (0.0000, 0.5000, 0.0000)
Ho (0.0000, 0.5000, 0.5000)
Ho (0.5000, 0.0000, 0.0000)
Ho (0.5000, 0.0000, 0.5000)
Ho (0.5000, 0.5000, 0.0000)
Ho (0.5000, 0.5000, 0.5000)
Er (0.0012, 0.7434, 0.2578)
Er (0.2566, 0.2578, 0.5145)
Er (0.2566, 0.7422, 0.9988)
Er (0.2578, 0.0012, 0.7434)
Er (0.2578, 0.5145, 0.2566)
Er (0.4855, 0.7434, 0.7422)
Er (0.5145, 0.2566, 0.2578)
Er (0.7422, 0.4855, 0.7434)
Er (0.7422, 0.9988, 0.2566)
Er (0.7434, 0.2578, 0.0012)
Er (0.7434, 0.7422, 0.4855)
Er (0.9988, 0.2566, 0.7422)

Main lines, by angle (10° ≤ 2θ ≤ 90°):
| Position (°2θ) | intensity |
| --- | --- |
| 15.8 | 24 |
| 27.6 | 70 |
| 32.0 | 100 |
| 45.9 | 73 |
| 54.4 | 31 |
| 57.0 | 25 |
| 76.0 | 32 |
| 84.9 | 24 |

***

# 9
Starting from a cell relaxed with PBE, the X-ray diffraction stick pattern of Pr12HoEr7 was simulated for CuKα.

abc: 9.4666 9.4666 9.4666
angles: 107.94 107.94 107.94
Sites, in units of the cell vectors:
Pr (0.0551, 0.2950, 0.4072)
Pr (0.2195, 0.6742, 0.3789)
Pr (0.2950, 0.4072, 0.0551)
Pr (0.3258, 0.6211, 0.7805)
Pr (0.3789, 0.2195, 0.6742)
Pr (0.4072, 0.0551, 0.2950)
Pr (0.5928, 0.9449, 0.7050)
Pr (0.6211, 0.7805, 0.3258)
Pr (0.6742, 0.3789, 0.2195)
Pr (0.7050, 0.5928, 0.9449)
Pr (0.7805, 0.3258, 0.6211)
Pr (0.9449, 0.7050, 0.5928)
Ho (0.0000, 0.0000, 0.0000)
Er (0.0068, 0.8967, 0.3175)
Er (0.1033, 0.6825, 0.9932)
Er (0.3175, 0.0068, 0.8967)
Er (0.5000, 0.5000, 0.5000)
Er (0.6825, 0.9932, 0.1033)
Er (0.8967, 0.3175, 0.0068)
Er (0.9932, 0.1033, 0.6825)

Main lines, by angle (10° ≤ 2θ ≤ 90°):
| Position (°2θ) | intensity |
| --- | --- |
| 28.8 | 37 |
| 30.0 | 23 |
| 30.9 | 100 |
| 33.3 | 41 |
| 35.4 | 30 |
| 50.7 | 16 |
| 55.0 | 11 |
| 63.7 | 16 |

***

# 10
Starting from a cell relaxed with PBE, the X-ray diffraction stick pattern of PrHoErPu was simulated for CuKα.

abc: 5.6347 5.6347 5.6347
angles: 60.00 60.00 60.00
Sites, in units of the cell vectors:
Pr (0.0000, 0.0000, 0.0000)
Ho (0.2500, 0.2500, 0.2500)
Er (0.7500, 0.7500, 0.7500)
Pu (0.5000, 0.5000, 0.5000)

Main lines, by angle (10° ≤ 2θ ≤ 90°):
| Position (°2θ) | intensity |
| --- | --- |
| 19.3 | 4 |
| 31.8 | 100 |
| 37.4 | 2 |
| 45.5 | 19 |
| 56.6 | 40 |
| 66.4 | 12 |
| 75.4 | 17 |
| 84.2 | 4 |

***

# 11
Starting from a cell relaxed with PBE, the X-ray diffraction stick pattern of Pr2HoErSb4 was simulated for CuKα.

abc: 7.7157 4.4652 7.7291
angles: 90.00 109.51 90.00
Sites, in units of the cell vectors:
Pr (0.0000, 0.0000, 0.0000)
Pr (0.0000, 0.5000, 0.5000)
Ho (0.5000, 0.0000, 0.5000)
Er (0.5000, 0.5000, 0.0000)
Sb (0.2629, 0.0000, 0.7547)
Sb (0.2626, 0.5000, 0.2537)
Sb (0.7371, 0.0000, 0.2453)
Sb (0.7374, 0.5000, 0.7463)

Main lines, by angle (10° ≤ 2θ ≤ 90°):
| Position (°2θ) | intensity |
| --- | --- |
| 28.3 | 100 |
| 40.4 | 76 |
| 50.1 | 21 |
| 50.2 | 7 |
| 58.5 | 13 |
| 66.2 | 18 |
| 66.3 | 17 |
| 73.5 | 19 |

***

# 12
Starting from a cell relaxed with PBE, the X-ray diffraction stick pattern of Pr5Ho2ErSc was simulated for CuKα.

abc: 11.2875 11.2875 10.3111
angles: 90.00 90.00 152.32
Sites, in units of the cell vectors:
Pr (0.0002, 0.9998, 0.0000)
Pr (0.9998, 0.0002, 0.5000)
Pr (0.1276, 0.8724, 0.7504)
Pr (0.2210, 0.7790, 0.4389)
Pr (0.2217, 0.7783, 0.0633)
Pr (0.4998, 0.5002, 0.2501)
Pr (0.5002, 0.4998, 0.7501)
Pr (0.7783, 0.2217, 0.5633)
Pr (0.7790, 0.2210, 0.9389)
Pr (0.8724, 0.1276, 0.2504)
Ho (0.3846, 0.6154, 0.5036)
Ho (0.3852, 0.6148, 0.9968)
Ho (0.6154, 0.3846, 0.0036)
Ho (0.6148, 0.3852, 0.4968)
Er (0.1017, 0.8983, 0.2503)
Er (0.8983, 0.1017, 0.7503)
Sc (0.2888, 0.7112, 0.7510)
Sc (0.7112, 0.2888, 0.2510)

Main lines, by angle (10° ≤ 2θ ≤ 90°):
| Position (°2θ) | intensity |
| --- | --- |
| 26.8 | 35 |
| 31.5 | 100 |
| 32.7 | 13 |
| 33.2 | 41 |
| 34.8 | 17 |
| 48.9 | 14 |
| 58.2 | 17 |
| 60.2 | 12 |